Diffraction record for Na2Mg2Fe2Se3S3O24. The powder diffractogram is calculated, not measured: it uses a DFT-relaxed cell (GGA+U, Alexandria) and CuKα.

Structural model:
Cell: 8.7504 8.7504 22.7390 Å, 90.00 90.00 120.00°
Space group R3 (No. 146, hexagonal axes)
One atom of each set of equivalent atoms:
Na1 0.0000 0.0000 0.0000
Na2 0.0000 0.0000 0.4952
Mg1 0.0000 0.0000 0.3469
Mg2 0.0000 0.0000 0.6394
Fe1 0.0000 0.0000 0.1480
Fe2 0.0000 0.0000 0.8547
Se1 0.0000 0.7093 0.7478
S1 0.0423 0.3725 0.9135
O1 0.0127 0.1874 0.9128
O2 0.0242 0.8403 0.0870
O3 0.0616 0.8409 0.6899
O4 0.0646 0.8652 0.4096
O5 0.1387 0.4659 0.8589
O6 0.1418 0.6716 0.4779
O7 0.1443 0.4585 0.9663
O8 0.1619 0.4647 0.2463

Most intense lines, 2θ from 10° to 90°, sorted by position:
(0 0 3), 11.7 deg, intensity 8
(0 1 2), 14.0 deg, intensity 7
(2 -1 3), 23.5 deg, intensity 100
(0 2 4), 28.3 deg, intensity 10
(2 -1 6), 31.2 deg, intensity 30
(3 -1 1), 31.5 deg, intensity 13
(3 0 0), 35.5 deg, intensity 15
(1 1 9), 41.3 deg, intensity 10
(0 0 12), 48.0 deg, intensity 14
(0 3 12), 61.1 deg, intensity 9